Computed powder diffractogram
Compound: CsRbSnF4
Radiation: Cu Kα (weighted mean of Kα1 and Kα2)
Structure: a cell relaxed with PBE

Cell and atoms:
```
CsRbSnF4
1.0
4.5328 0.0000 0.0000
0.0000 4.5328 0.0000
0.0000 0.0000 16.5727
Cs Rb Sn F
2 2 2 8
Direct
0.0000 0.0000 0.0000
0.5000 0.5000 0.5000
0.0000 0.0000 0.6818
0.5000 0.5000 0.1818
0.0000 0.0000 0.3171
0.5000 0.5000 0.8171
0.0000 0.0000 0.1876
0.0000 0.0000 0.5205
0.0000 0.5000 0.2918
0.0000 0.5000 0.7918
0.5000 0.0000 0.2918
0.5000 0.0000 0.7918
0.5000 0.5000 0.0205
0.5000 0.5000 0.6876
```

Peak list (10 most intense, 10 to 90 degrees two-theta, in order of rising 2θ)
hkl 0 0 4, 2θ = 21.4°, I 11
hkl 1 0 3, 2θ = 25.4°, I 100
hkl 1 1 0, 2θ = 27.8°, I 53
hkl 0 0 6, 2θ = 32.4°, I 17
hkl 2 0 0, 2θ = 39.8°, I 31
hkl 1 1 6, 2θ = 43.2°, I 31
hkl 2 1 3, 2θ = 47.8°, I 37
hkl 2 0 6, 2θ = 52.2°, I 18
hkl 2 2 0, 2θ = 57.5°, I 10
hkl 3 1 6, 2θ = 74.6°, I 13